(1)
ZrBeAl: theoretical powder diffraction line list (Cu Kα), based on a PBE-relaxed structure.
Peak positions follow from Bragg's law for the DFT cell and can differ from measured ones.

Crystal structure
```
data_ZrBeAl
_cell_length_a 11.4980
_cell_length_b 3.7557
_cell_length_c 6.5164
_cell_angle_alpha 90.00
_cell_angle_beta 90.00
_cell_angle_gamma 90.00
_symmetry_space_group_name_H-M 'P m m a'
_symmetry_Int_Tables_number 51
_symmetry_space_group_name_Hall '-P 2a 2a'
loop_
_atom_site_label
_atom_site_fract_x
_atom_site_fract_y
_atom_site_fract_z
Zr1 0.0484 0.0000 0.2342
Zr2 0.2500 0.0000 0.8509
Be1 0.0870 0.5000 0.9437
Be2 0.2500 0.0000 0.4450
Al1 0.1256 0.5000 0.5718
Al2 0.2500 0.5000 0.1950
```

The 10 most intense peaks (2θ = 10–90°), most intense first:
(3 1 1), 36.2 deg, intensity 100
(3 0 1), 27.0 deg, intensity 42
(0 1 0), 23.7 deg, intensity 35
(0 0 2), 27.4 deg, intensity 35
(0 1 2), 36.5 deg, intensity 32
(0 2 0), 48.5 deg, intensity 27
(2 1 2), 39.8 deg, intensity 22
(4 1 0), 39.5 deg, intensity 19
(1 1 2), 37.4 deg, intensity 18
(0 0 3), 41.6 deg, intensity 16

***

(2)
ZrBeAl: theoretical powder diffraction line list (Cu Kα), based on a PBE-relaxed structure.
Peak positions follow from Bragg's law for the DFT cell and can differ from measured ones.

Crystal structure
```
data_ZrBeAl
_cell_length_a 3.2564
_cell_length_b 4.0824
_cell_length_c 7.2184
_cell_angle_alpha 90.00
_cell_angle_beta 90.00
_cell_angle_gamma 90.00
_symmetry_space_group_name_H-M 'P m m m'
_symmetry_Int_Tables_number 47
_symmetry_space_group_name_Hall '-P 2 2'
loop_
_atom_site_label
_atom_site_fract_x
_atom_site_fract_y
_atom_site_fract_z
Zr1 0.0000 0.0000 0.0000
Zr2 0.0000 0.5000 0.5000
Be1 0.5000 0.0000 0.3470
Al1 0.5000 0.5000 0.1780
```

The 10 most intense peaks (2θ = 10–90°), most intense first:
(1 1 1), 37.5 deg, intensity 100
(0 1 1), 25.1 deg, intensity 74
(1 0 2), 37.2 deg, intensity 54
(0 1 3), 43.7 deg, intensity 42
(0 0 2), 24.7 deg, intensity 35
(1 2 2), 59.2 deg, intensity 27
(0 2 0), 44.4 deg, intensity 20
(1 0 0), 27.4 deg, intensity 17
(2 1 3), 74.0 deg, intensity 17
(1 1 5), 75.7 deg, intensity 14

***

(3)
AlBi: theoretical powder diffraction line list (Cu Kα), based on a PBE-relaxed structure.
Peak positions follow from Bragg's law for the DFT cell and can differ from measured ones.

Crystal structure
```
data_AlBi
_cell_length_a 13.0496
_cell_length_b 4.5101
_cell_length_c 5.8169
_cell_angle_alpha 90.00
_cell_angle_beta 90.00
_cell_angle_gamma 90.00
_symmetry_space_group_name_H-M 'P m n 21'
_symmetry_Int_Tables_number 31
_symmetry_space_group_name_Hall 'P 2ac -2'
loop_
_atom_site_label
_atom_site_fract_x
_atom_site_fract_y
_atom_site_fract_z
Al1 0.0000 0.1772 0.0000
Al2 0.1908 0.3682 0.1921
Bi1 0.0000 0.6910 0.3119
Bi2 0.1703 0.1371 0.6823
```

The 10 most intense peaks (2θ = 10–90°), most intense first:
(3 0 1), 25.6 deg, intensity 100
(3 1 0), 28.5 deg, intensity 88
(0 1 1), 25.0 deg, intensity 68
(3 1 2), 42.4 deg, intensity 34
(6 0 0), 41.5 deg, intensity 31
(1 1 1), 25.9 deg, intensity 28
(3 1 1), 32.5 deg, intensity 27
(6 1 1), 49.1 deg, intensity 26
(1 1 2), 37.4 deg, intensity 26
(0 0 2), 30.7 deg, intensity 26

***

(4)
Al2Bi3: theoretical powder diffraction line list (Cu Kα), based on a PBE-relaxed structure.
Peak positions follow from Bragg's law for the DFT cell and can differ from measured ones.

Crystal structure
```
data_Al2Bi3
_cell_length_a 8.0301
_cell_length_b 8.0301
_cell_length_c 15.4574
_cell_angle_alpha 90.00
_cell_angle_beta 90.00
_cell_angle_gamma 120.00
_symmetry_space_group_name_H-M 'R -3 c'
_symmetry_Int_Tables_number 167
_symmetry_space_group_name_Hall '-R 3 2"c'
loop_
_atom_site_label
_atom_site_fract_x
_atom_site_fract_y
_atom_site_fract_z
Al1 0.0000 0.0000 0.1620
Bi1 0.0000 0.3460 0.2500
```

The 10 most intense peaks (2θ = 10–90°), most intense first:
(1 1 3), 28.2 deg, intensity 100
(3 0 0), 38.8 deg, intensity 33
(2 2 3), 48.7 deg, intensity 22
(3 0 6), 53.1 deg, intensity 20
(1 1 0), 22.1 deg, intensity 19
(4 1 3), 64.0 deg, intensity 19
(1 1 6), 41.7 deg, intensity 16
(1 1 9), 58.4 deg, intensity 13
(0 0 6), 34.8 deg, intensity 11
(4 1 9), 85.4 deg, intensity 9

***

(5)
AlBi: theoretical powder diffraction line list (Cu Kα), based on a PBE-relaxed structure.
Peak positions follow from Bragg's law for the DFT cell and can differ from measured ones.

Crystal structure
```
data_AlBi
_cell_length_a 12.0885
_cell_length_b 12.0885
_cell_length_c 4.4827
_cell_angle_alpha 90.00
_cell_angle_beta 90.00
_cell_angle_gamma 90.00
_symmetry_space_group_name_H-M 'P 4/m'
_symmetry_Int_Tables_number 83
_symmetry_space_group_name_Hall '-P 4'
loop_
_atom_site_label
_atom_site_fract_x
_atom_site_fract_y
_atom_site_fract_z
Al1 0.0532 0.3957 0.0000
Al2 0.1297 0.7126 0.5000
Bi1 0.0987 0.2676 0.5000
Bi2 0.1929 0.5862 0.0000
```

The 10 most intense peaks (2θ = 10–90°), most intense first:
(2 1 1), 25.8 deg, intensity 100
(1 3 0), 23.3 deg, intensity 75
(5 0 1), 42.5 deg, intensity 59
(1 1 0), 10.3 deg, intensity 32
(4 2 0), 33.1 deg, intensity 25
(1 3 2), 47.0 deg, intensity 25
(1 0 1), 21.1 deg, intensity 19
(0 0 2), 40.2 deg, intensity 15
(4 2 2), 53.1 deg, intensity 14
(1 4 1), 36.6 deg, intensity 14

***

(6)
AlBiBr6: theoretical powder diffraction line list (Cu Kα), based on a PBE-relaxed structure.
Peak positions follow from Bragg's law for the DFT cell and can differ from measured ones.

Crystal structure
```
data_AlBiBr6
_cell_length_a 8.1534
_cell_length_b 8.3738
_cell_length_c 10.0350
_cell_angle_alpha 101.91
_cell_angle_beta 105.94
_cell_angle_gamma 96.74
_symmetry_space_group_name_H-M 'P -1'
_symmetry_Int_Tables_number 2
_symmetry_space_group_name_Hall '-P 1'
loop_
_atom_site_label
_atom_site_fract_x
_atom_site_fract_y
_atom_site_fract_z
Al1 0.1885 0.3024 0.3531
Bi1 0.3069 0.4820 0.7943
Br1 0.0606 0.3131 0.8555
Br2 0.1065 0.7844 0.7845
Br3 0.2444 0.1711 0.5440
Br4 0.2503 0.5820 0.4652
Br5 0.3511 0.2183 0.2046
Br6 0.4325 0.6907 0.0841
```

The 10 most intense peaks (2θ = 10–90°), most intense first:
(0 1 0), 11.0 deg, intensity 100
(1 -2 2), 28.7 deg, intensity 57
(1 0 -1), 12.4 deg, intensity 43
(2 1 -2), 27.2 deg, intensity 40
(-1 2 1), 25.6 deg, intensity 30
(1 1 -1), 16.5 deg, intensity 30
(2 -2 1), 31.0 deg, intensity 25
(0 1 3), 33.3 deg, intensity 25
(2 0 1), 27.6 deg, intensity 23
(-1 1 3), 31.5 deg, intensity 23